No. 1
Simulated powder diffraction line list
Compound: Rb8Cl6F
Radiation: Cu Kα
Structure: a crystal structure in Alexandria, relaxed with PBE
Neutral-atom scattering factors, no anomalous dispersion.

Main lines, sorted by position (2θ = 15–90°):
d = 5.461 Å, intensity 33
d = 3.987 Å, intensity 49
d = 3.642 Å, intensity 22
d = 3.118 Å, intensity 19
d = 2.893 Å, intensity 79
d = 2.867 Å, intensity 100
d = 2.750 Å, intensity 44
d = 2.183 Å, intensity 14
d = 1.993 Å, intensity 16
d = 1.916 Å, intensity 26
d = 1.832 Å, intensity 21
d = 1.795 Å, intensity 16

Cell and atoms:
```
Rb8Cl6F
1.0
9.5269 0.0000 0.0000
-4.7635 8.2506 0.0000
0.0000 0.0000 7.2842
Rb Cl F
8 6 1
direct
0.0000 0.2594 0.2116
0.0000 0.7406 0.7884
0.2594 0.0000 0.2116
0.2594 0.2594 0.7884
0.3333 0.6667 0.5000
0.6667 0.3333 0.5000
0.7406 0.0000 0.7884
0.7406 0.7406 0.2116
0.0000 0.3882 0.7327
0.0000 0.6118 0.2673
0.3882 0.0000 0.7327
0.3882 0.3882 0.2673
0.6118 0.0000 0.2673
0.6118 0.6118 0.7327
0.0000 0.0000 0.0000
```


No. 2
Simulated powder diffraction line list
Compound: Rb2ClF7
Radiation: Cu Kα
Structure: a crystal structure in Alexandria, relaxed with PBE
Neutral-atom scattering factors, no anomalous dispersion.

Main lines, sorted by position (2θ = 15–90°):
d = 5.093 Å, intensity 13
d = 4.411 Å, intensity 14
d = 3.119 Å, intensity 100
d = 2.546 Å, intensity 49
d = 2.205 Å, intensity 50
d = 1.972 Å, intensity 12
d = 1.801 Å, intensity 33
d = 1.559 Å, intensity 27
d = 1.395 Å, intensity 21
d = 1.330 Å, intensity 13
d = 1.273 Å, intensity 8
d = 1.179 Å, intensity 21

Cell and atoms:
```
Rb2ClF7
1.0
0.0000 4.4106 4.4106
4.4106 0.0000 4.4106
4.4106 4.4106 0.0000
Rb Cl F
2 1 7
direct
0.2500 0.2500 0.2500
0.7500 0.7500 0.7500
0.0000 0.0000 0.0000
0.2128 0.2128 0.7872
0.2128 0.7872 0.2128
0.2128 0.7872 0.7872
0.5000 0.5000 0.5000
0.7872 0.2128 0.2128
0.7872 0.2128 0.7872
0.7872 0.7872 0.2128
```


No. 3
Simulated powder diffraction line list
Compound: Rb2ReCl5F
Radiation: Cu Kα
Structure: a crystal structure in Alexandria, relaxed with PBE
Neutral-atom scattering factors, no anomalous dispersion.

Main lines, sorted by position (2θ = 15–90°):
d = 5.855 Å, intensity 100
d = 3.600 Å, intensity 26
d = 3.579 Å, intensity 66
d = 3.066 Å, intensity 31
d = 3.041 Å, intensity 14
d = 2.928 Å, intensity 15
d = 2.545 Å, intensity 43
d = 2.516 Å, intensity 20
d = 2.074 Å, intensity 29
d = 1.959 Å, intensity 15
d = 1.800 Å, intensity 14
d = 1.789 Å, intensity 27

Cell and atoms:
```
Rb2ReCl5F
1.0
-3.5996 3.5996 5.0316
3.5996 -3.5996 5.0316
3.5996 3.5996 -5.0316
Rb Re Cl F
2 1 5 1
direct
0.0000 0.5000 0.5000
0.5000 0.0000 0.5000
0.2519 0.2519 0.0000
0.0149 0.0149 0.5325
0.0149 0.4824 0.0000
0.4824 0.0149 0.0000
0.4824 0.4824 0.4675
0.4873 0.4873 0.0000
0.0550 0.0550 0.0000
```


No. 4
Simulated powder diffraction line list
Compound: Rb2RhCl4F2
Radiation: Cu Kα
Structure: a crystal structure in Alexandria, relaxed with PBE
Neutral-atom scattering factors, no anomalous dispersion.

Main lines, sorted by position (2θ = 15–90°):
d = 5.780 Å, intensity 74
d = 5.728 Å, intensity 33
d = 5.306 Å, intensity 58
d = 3.583 Å, intensity 100
d = 3.541 Å, intensity 24
d = 3.372 Å, intensity 77
d = 2.946 Å, intensity 48
d = 2.925 Å, intensity 26
d = 2.890 Å, intensity 46
d = 2.501 Å, intensity 40
d = 2.413 Å, intensity 99
d = 1.792 Å, intensity 31

Cell and atoms:
```
Rb2RhCl4F2
1.0
5.7767 -3.5415 0.0000
5.7767 3.5415 0.0000
-3.3106 0.0000 5.7277
Rb Rh Cl F
2 1 4 2
direct
0.2356 0.2356 0.2810
0.7644 0.7644 0.7190
0.5000 0.5000 0.0000
0.2289 0.6999 0.2101
0.3001 0.7711 0.7899
0.6999 0.2289 0.2101
0.7711 0.3001 0.7899
0.3088 0.3088 0.7630
0.6912 0.6912 0.2370
```


No. 5
Simulated powder diffraction line list
Compound: Rb2RuCl5F
Radiation: Cu Kα
Structure: a crystal structure in Alexandria, relaxed with PBE
Neutral-atom scattering factors, no anomalous dispersion.

Main lines, sorted by position (2θ = 15–90°):
d = 5.811 Å, intensity 100
d = 3.618 Å, intensity 32
d = 3.530 Å, intensity 86
d = 3.071 Å, intensity 22
d = 2.906 Å, intensity 70
d = 2.558 Å, intensity 77
d = 2.439 Å, intensity 32
d = 2.071 Å, intensity 37
d = 1.966 Å, intensity 16
d = 1.809 Å, intensity 24
d = 1.765 Å, intensity 44
d = 1.453 Å, intensity 21

Cell and atoms:
```
Rb2RuCl5F
1.0
-3.6178 3.6178 4.8774
3.6178 -3.6178 4.8774
3.6178 3.6178 -4.8774
Rb Ru Cl F
2 1 5 1
direct
0.0000 0.5000 0.5000
0.5000 0.0000 0.5000
0.2524 0.2524 0.0000
0.0181 0.0181 0.5379
0.0181 0.4802 0.0000
0.4802 0.0181 0.0000
0.4802 0.4802 0.4621
0.4891 0.4891 0.0000
0.0530 0.0530 0.0000
```


No. 6
Simulated powder diffraction line list
Compound: Rb2SnCl2F4
Radiation: Cu Kα
Structure: a crystal structure in Alexandria, relaxed with PBE
Neutral-atom scattering factors, no anomalous dispersion.

Main lines, sorted by position (2θ = 15–90°):
d = 5.439 Å, intensity 100
d = 3.459 Å, intensity 89
d = 3.272 Å, intensity 91
d = 2.919 Å, intensity 21
d = 2.720 Å, intensity 38
d = 2.702 Å, intensity 32
d = 2.446 Å, intensity 70
d = 2.201 Å, intensity 26
d = 1.959 Å, intensity 38
d = 1.857 Å, intensity 28
d = 1.636 Å, intensity 36
d = 1.547 Å, intensity 21

Cell and atoms:
```
Rb2SnCl2F4
1.0
-3.4586 3.4586 4.4023
3.4586 -3.4586 4.4023
3.4586 3.4586 -4.4023
Rb Sn Cl F
2 1 2 4
direct
0.2500 0.7500 0.5000
0.7500 0.2500 0.5000
0.0000 0.0000 0.0000
0.2758 0.2758 0.0000
0.7242 0.7242 0.0000
0.2063 0.2063 0.4126
0.2063 0.7937 0.0000
0.7937 0.2063 0.0000
0.7937 0.7937 0.5874
```


No. 7
Simulated powder diffraction line list
Compound: Rb2SnCl5F
Radiation: Cu Kα
Structure: a crystal structure in Alexandria, relaxed with PBE
Neutral-atom scattering factors, no anomalous dispersion.

Main lines, sorted by position (2θ = 15–90°):
d = 3.632 Å, intensity 100
d = 3.097 Å, intensity 35
d = 2.965 Å, intensity 47
d = 2.575 Å, intensity 29
d = 2.564 Å, intensity 60
d = 2.096 Å, intensity 44
d = 1.817 Å, intensity 38
d = 1.813 Å, intensity 20
d = 1.622 Å, intensity 14
d = 1.483 Å, intensity 19
d = 1.372 Å, intensity 15
d = 1.147 Å, intensity 17

Cell and atoms:
```
Rb2SnCl5F
1.0
-3.6267 3.6267 5.1503
3.6267 -3.6267 5.1503
3.6267 3.6267 -5.1503
Rb Sn Cl F
2 1 5 1
direct
0.0000 0.5000 0.5000
0.5000 0.0000 0.5000
0.2495 0.2495 0.0000
0.0062 0.0062 0.5185
0.0062 0.4876 0.0000
0.4876 0.0062 0.0000
0.4882 0.4882 0.0000
0.4876 0.4876 0.4815
0.0543 0.0543 0.0000
```


No. 8
Simulated powder diffraction line list
Compound: Rb2TcClF6
Radiation: Cu Kα
Structure: a crystal structure in Alexandria, relaxed with PBE
Neutral-atom scattering factors, no anomalous dispersion.

Main lines, sorted by position (2θ = 15–90°):
d = 4.981 Å, intensity 59
d = 4.717 Å, intensity 45
d = 3.746 Å, intensity 100
d = 3.648 Å, intensity 75
d = 3.553 Å, intensity 75
d = 3.390 Å, intensity 40
d = 3.240 Å, intensity 92
d = 3.019 Å, intensity 75
d = 2.760 Å, intensity 42
d = 2.374 Å, intensity 25
d = 2.284 Å, intensity 81
d = 2.167 Å, intensity 33

Cell and atoms:
```
Rb2TcClF6
1.0
5.5356 0.0000 0.0000
2.3368 5.6872 0.0000
2.6426 2.1433 6.8543
Rb Tc Cl F
2 1 1 6
direct
0.2043 0.2891 0.3028
0.7957 0.7109 0.6972
0.0000 0.0000 0.0000
0.5000 0.5000 0.5000
0.0887 0.0306 0.7247
0.1427 0.2650 0.9416
0.3418 0.7629 0.0226
0.6582 0.2371 0.9774
0.8573 0.7350 0.0584
0.9113 0.9694 0.2753
```


No. 9
Simulated powder diffraction line list
Compound: Rb2ZrClF6
Radiation: Cu Kα
Structure: a crystal structure in Alexandria, relaxed with PBE
Neutral-atom scattering factors, no anomalous dispersion.

Main lines, sorted by position (2θ = 15–90°):
d = 5.645 Å, intensity 33
d = 3.489 Å, intensity 100
d = 3.395 Å, intensity 46
d = 2.823 Å, intensity 17
d = 2.539 Å, intensity 22
d = 2.401 Å, intensity 38
d = 2.034 Å, intensity 17
d = 1.978 Å, intensity 35
d = 1.745 Å, intensity 23
d = 1.698 Å, intensity 11
d = 1.597 Å, intensity 13
d = 1.329 Å, intensity 12

Cell and atoms:
```
Rb2ZrClF6
1.0
-3.3954 3.3954 5.0786
3.3954 -3.3954 5.0786
3.3954 3.3954 -5.0786
Rb Zr Cl F
2 1 1 6
direct
0.2500 0.7500 0.5000
0.7500 0.2500 0.5000
0.0000 0.0000 0.0000
0.5000 0.5000 0.0000
0.2003 0.2003 0.0000
0.2119 0.2119 0.4237
0.2119 0.7881 0.0000
0.7881 0.2119 0.0000
0.7881 0.7881 0.5763
0.7997 0.7997 0.0000
```


No. 10
Simulated powder diffraction line list
Compound: ReCl3F
Radiation: Cu Kα
Structure: a crystal structure in Alexandria, relaxed with PBE
Neutral-atom scattering factors, no anomalous dispersion.

Main lines, sorted by position (2θ = 15–90°):
d = 5.387 Å, intensity 28
d = 5.017 Å, intensity 100
d = 4.875 Å, intensity 86
d = 3.229 Å, intensity 46
d = 3.169 Å, intensity 17
d = 3.032 Å, intensity 31
d = 2.813 Å, intensity 45
d = 2.534 Å, intensity 80
d = 1.953 Å, intensity 36
d = 1.949 Å, intensity 26
d = 1.823 Å, intensity 24
d = 1.744 Å, intensity 18

Cell and atoms:
```
ReCl3F
1.0
7.0654 0.0000 0.0000
0.0000 7.3087 0.0000
-4.5843 0.0000 11.2502
Re Cl F
4 12 4
direct
0.0463 0.1313 0.3524
0.0463 0.8687 0.8524
0.9537 0.1313 0.1476
0.9537 0.8687 0.6476
0.1692 0.3430 0.1274
0.1692 0.6570 0.6274
0.1745 0.0976 0.6409
0.1745 0.9024 0.1409
0.3099 0.3322 0.4109
0.3099 0.6678 0.9109
0.6901 0.3322 0.0891
0.6901 0.6678 0.5891
0.8255 0.0976 0.8591
0.8255 0.9024 0.3591
0.8308 0.3430 0.3726
0.8308 0.6570 0.8726
0.2469 0.0564 0.8976
0.2469 0.9436 0.3976
0.7531 0.0564 0.6024
0.7531 0.9436 0.1024
```


No. 11
Simulated powder diffraction line list
Compound: ReClF3
Radiation: Cu Kα
Structure: a crystal structure in Alexandria, relaxed with PBE
Neutral-atom scattering factors, no anomalous dispersion.

Main lines, sorted by position (2θ = 15–90°):
d = 5.513 Å, intensity 100
d = 3.958 Å, intensity 24
d = 3.842 Å, intensity 16
d = 2.610 Å, intensity 17
d = 2.495 Å, intensity 13
d = 2.437 Å, intensity 8
d = 2.346 Å, intensity 19
d = 2.018 Å, intensity 12
d = 1.915 Å, intensity 8
d = 1.882 Å, intensity 11
d = 1.562 Å, intensity 7
d = 1.513 Å, intensity 9

Cell and atoms:
```
ReClF3
1.0
-2.9625 3.8422 3.9576
2.9625 -3.8422 3.9576
2.9625 3.8422 -3.9576
Re Cl F
2 2 6
direct
0.0000 0.2055 0.2055
0.0000 0.7945 0.7945
0.2158 0.5000 0.7158
0.7842 0.5000 0.2842
0.2145 0.0000 0.2145
0.2433 0.0130 0.7697
0.2433 0.4736 0.2303
0.7567 0.5264 0.7697
0.7567 0.9870 0.2303
0.7855 0.0000 0.7855
```


No. 12
Simulated powder diffraction line list
Compound: RhCl2F
Radiation: Cu Kα
Structure: a crystal structure in Alexandria, relaxed with PBE
Neutral-atom scattering factors, no anomalous dispersion.

Main lines, sorted by position (2θ = 15–90°):
d = 4.055 Å, intensity 100
d = 3.511 Å, intensity 25
d = 3.424 Å, intensity 18
d = 3.365 Å, intensity 24
d = 2.741 Å, intensity 80
d = 2.289 Å, intensity 27
d = 2.253 Å, intensity 29
d = 2.119 Å, intensity 42
d = 2.028 Å, intensity 21
d = 1.895 Å, intensity 20
d = 1.861 Å, intensity 17
d = 1.617 Å, intensity 16

Cell and atoms:
```
RhCl2F
1.0
13.3653 0.0000 0.0000
0.0000 3.4776 0.0000
-0.1146 0.0000 4.0550
Rh Cl F
2 4 2
direct
0.0000 0.0000 0.0000
0.5000 0.5000 0.0000
0.1190 0.5044 0.0111
0.3810 0.0044 0.9889
0.6190 0.0044 0.0111
0.8810 0.5044 0.9889
0.0000 0.0630 0.5000
0.5000 0.5630 0.5000
```


No. 13
Simulated powder diffraction line list
Compound: RuClF3
Radiation: Cu Kα
Structure: a crystal structure in Alexandria, relaxed with PBE
Neutral-atom scattering factors, no anomalous dispersion.

Main lines, sorted by position (2θ = 15–90°):
d = 4.953 Å, intensity 100
d = 4.062 Å, intensity 21
d = 3.751 Å, intensity 59
d = 3.723 Å, intensity 70
d = 3.124 Å, intensity 42
d = 2.835 Å, intensity 40
d = 2.756 Å, intensity 58
d = 2.018 Å, intensity 36
d = 1.876 Å, intensity 17
d = 1.785 Å, intensity 51
d = 1.771 Å, intensity 49
d = 1.573 Å, intensity 11

Cell and atoms:
```
RuClF3
1.0
5.7447 0.0000 0.0000
0.0000 5.7447 0.0000
0.0000 0.0000 9.7772
Ru Cl F
4 4 12
direct
0.1458 0.6502 0.0000
0.3498 0.1458 0.2500
0.6502 0.8542 0.7500
0.8542 0.3498 0.5000
0.1741 0.3821 0.6187
0.3821 0.8259 0.3687
0.6179 0.1741 0.8687
0.8259 0.6179 0.1187
0.0276 0.1991 0.3425
0.1112 0.3679 0.9084
0.1991 0.9724 0.0925
0.3191 0.4709 0.1433
0.3679 0.8888 0.6584
0.4709 0.6809 0.8933
0.5291 0.3191 0.3933
0.6321 0.1112 0.1584
0.6809 0.5291 0.6433
0.8009 0.0276 0.5925
0.8888 0.6321 0.4084
0.9724 0.8009 0.8425
```